1.
This entry pairs a crystal structure of Tl4B8O17 with its calculated XRD peak list. Radiation: copper Kα. Structure: the PBE geometry in the Materials Project.
Kinematic intensities with the Lorentz-polarization factor, no thermal factor.

Atomic structure:
a b c (Å): 7.0722 9.5793 13.3519
angles (deg): 89.72 82.95 89.53
Space group P-1 (No. 2)
Asymmetric unit:
1 Tl 0.0466 0.4714 0.3859
2 Tl 0.1781 0.6006 0.0998
3 Tl 0.3485 0.1596 0.8281
4 Tl 0.4149 0.8502 0.6660
5 B 0.0027 0.0046 0.7474
6 B 0.2579 0.5082 0.7551
7 B 0.2848 0.8786 0.3039
8 B 0.2932 0.1249 0.2029
9 B 0.3328 0.7503 0.4573
10 B 0.3805 0.2602 0.0505
11 B 0.4326 0.3793 0.2121
12 B 0.4328 0.6237 0.2969
13 O 0.0640 0.5148 0.7592
14 O 0.0688 0.3520 0.5156
15 O 0.0834 0.8841 0.2904
16 O 0.0878 0.1131 0.2168
17 O 0.2044 0.0070 0.7520
18 O 0.2957 0.7345 0.5619
19 O 0.3217 0.8772 0.4088
20 O 0.3362 0.5029 0.2592
21 O 0.3513 0.2485 0.2601
22 O 0.3564 0.3827 0.7343
23 O 0.3619 0.6255 0.7739
24 O 0.3650 0.1313 0.0953
25 O 0.3727 0.7553 0.2472
26 O 0.3745 0.2881 0.9492
27 O 0.3821 0.6298 0.4051
28 O 0.3910 0.0034 0.2511
29 O 0.4038 0.3799 0.1048

Main lines, sorted by position (15 to 90 degrees two-theta):
two_theta, Rel. int.
15.60, 35.6
15.71, 56.2
16.29, 100.0
16.34, 22.7
16.48, 39.3
22.55, 43.6
22.91, 30.5
25.30, 22.6
25.46, 61.5
26.96, 25.5
27.07, 25.6
28.60, 37.9

---

2.
This entry pairs a crystal structure of TlBO3 with its calculated XRD peak list. Radiation: copper Kα. Structure: the PBE geometry in the Materials Project.
Kinematic intensities with the Lorentz-polarization factor, no thermal factor.

Atomic structure:
a b c (Å): 3.5349 3.5349 3.5349
angles (deg): 90.00 90.00 90.00
Space group Pm-3m (No. 221)
Asymmetric unit:
1 Tl 0.0000 0.0000 0.0000
2 B 0.5000 0.5000 0.5000
3 O 0.0000 0.5000 0.5000

Main lines, sorted by position (15 to 90 degrees two-theta):
two_theta, Rel. int.
25.19, 100.0
35.93, 99.5
44.39, 57.8
51.72, 30.4
58.37, 44.5
64.58, 38.1
76.17, 18.4
81.73, 22.2
87.21, 17.9